Record 1
Starting from a GGA-PBE-relaxed structure, the powder X-ray diffraction pattern of Er4AlAu3 was computed for CuKα.
Neutral-atom scattering factors, no anomalous dispersion.

Most intense lines, 2θ from 15° to 90°, by angle:
2θ = 32.12°, I 100
2θ = 32.34°, I 28
2θ = 34.42°, I 23
2θ = 37.87°, I 32
2θ = 38.94°, I 34
2θ = 39.70°, I 63
2θ = 49.56°, I 17
2θ = 64.05°, I 28
2θ = 71.06°, I 20
2θ = 77.58°, I 16

Structure:
```
Er4AlAu3
1.0
3.679 0.000 0.000
0.000 4.626 0.000
0.000 0.000 11.074
Er Al Au
4 1 3
Direct
0.000 0.000 0.000
0.000 0.500 0.280
0.500 0.000 0.490
0.500 0.500 0.788
0.000 0.000 0.715
0.000 0.500 0.560
0.500 0.000 0.225
0.500 0.500 0.054
```

***

Record 2
Starting from a GGA-PBE-relaxed structure, the powder X-ray diffraction pattern of Cs2CdBi2 was computed for CuKα.
Neutral-atom scattering factors, no anomalous dispersion.

Most intense lines, 2θ from 15° to 90°, by angle:
2θ = 24.32°, I 100
2θ = 26.84°, I 46
2θ = 29.40°, I 38
2θ = 33.88°, I 49
2θ = 37.07°, I 23
2θ = 37.56°, I 20
2θ = 45.46°, I 43
2θ = 46.77°, I 21
2θ = 48.40°, I 19
2θ = 49.18°, I 15

Structure:
```
Cs2CdBi2
1.0
6.076 0.000 0.000
0.000 2.395 7.934
0.000 -2.395 7.934
Cs Cd Bi
2 1 2
Direct
0.000 0.000 0.000
0.000 0.241 0.241
0.500 0.812 0.812
0.500 0.420 0.420
0.500 0.622 0.622
```

***

Record 3
Starting from a GGA-PBE-relaxed structure, the powder X-ray diffraction pattern of CaPr4H10 was computed for CuKα.
Neutral-atom scattering factors, no anomalous dispersion.

Most intense lines, 2θ from 15° to 90°, by angle:
2θ = 27.92°, I 34
2θ = 28.03°, I 100
2θ = 32.44°, I 65
2θ = 46.47°, I 26
2θ = 46.61°, I 26
2θ = 55.09°, I 15
2θ = 55.23°, I 45
2θ = 57.93°, I 12
2θ = 75.12°, I 12
2θ = 86.43°, I 13

Structure:
```
CaPr4H10
1.0
1.949 1.125 15.978
-1.949 1.125 15.978
0.000 -2.250 15.978
Ca Pr H
1 4 10
Direct
0.000 0.000 0.000
0.200 0.200 0.200
0.400 0.400 0.400
0.600 0.600 0.600
0.800 0.800 0.800
0.050 0.050 0.050
0.150 0.150 0.150
0.250 0.250 0.250
0.350 0.350 0.350
0.450 0.450 0.450
0.550 0.550 0.550
0.650 0.650 0.650
0.750 0.750 0.750
0.850 0.850 0.850
0.950 0.950 0.950
```